No. 1
Structure and theoretical powder XRD pattern of MgSn2O4 (a DFT-relaxed cell (GGA-PBE, the Materials Project); Cu Ka).
Kinematic intensities with the Lorentz-polarization factor, no thermal factor.

Structure:
```
MgSn2O4
1.0
6.669 -1.621 0.000
6.669 1.621 0.000
-5.150 0.000 9.447
Mg Sn O
2 4 8
Direct
0.197 0.197 0.239
0.803 0.803 0.761
0.138 0.138 0.875
0.400 0.400 0.584
0.600 0.600 0.416
0.862 0.862 0.125
0.036 0.036 0.232
0.269 0.269 0.637
0.329 0.329 0.971
0.347 0.347 0.234
0.653 0.653 0.766
0.671 0.671 0.029
0.731 0.731 0.363
0.964 0.964 0.768
```

Principal peaks in the range 2θ = 5–70°, sorted by position:
2θ/deg	Rel. int.
17.60	100
29.43	45
31.28	58
34.27	34
37.89	54
43.99	33

---

No. 2
Structure and theoretical powder XRD pattern of Ca2PdPt (a DFT-relaxed cell (GGA-PBE, the Materials Project); Cu Ka).
Kinematic intensities with the Lorentz-polarization factor, no thermal factor.

Structure:
```
Ca2PdPt
1.0
0.000 3.516 3.516
3.516 0.000 3.516
3.516 3.516 0.000
Ca Pd Pt
2 1 1
Direct
0.250 0.250 0.250
0.750 0.750 0.750
0.000 0.000 0.000
0.500 0.500 0.500
```

Principal peaks in the range 2θ = 5–70°, sorted by position:
2θ/deg	Rel. int.
25.33	39
36.12	100
44.63	12
52.01	17
58.71	16
64.96	35

---

No. 3
Structure and theoretical powder XRD pattern of LiCuPO4 (a DFT-relaxed cell (GGA-PBE, the Materials Project); Cu Ka).
Kinematic intensities with the Lorentz-polarization factor, no thermal factor.

Structure:
```
LiCuPO4
1.0
7.989 0.000 0.000
0.000 5.094 0.000
-1.158 0.000 8.504
Li Cu P O
4 4 4 16
Direct
0.038 0.000 0.418
0.449 0.589 0.809
0.551 0.089 0.191
0.962 0.500 0.582
0.181 0.580 0.091
0.409 0.002 0.592
0.591 0.502 0.408
0.819 0.080 0.909
0.216 0.093 0.896
0.274 0.501 0.458
0.726 0.001 0.542
0.784 0.593 0.104
0.029 0.099 0.821
0.135 0.322 0.495
0.226 0.792 0.474
0.241 0.942 0.056
0.287 0.379 0.929
0.327 0.948 0.788
0.336 0.448 0.295
0.441 0.450 0.580
0.559 0.950 0.420
0.664 0.948 0.705
0.673 0.448 0.212
0.713 0.879 0.071
0.759 0.442 0.944
0.774 0.292 0.526
0.865 0.822 0.505
0.971 0.599 0.179
```

Principal peaks in the range 2θ = 5–70°, sorted by position:
2θ/deg	Rel. int.
14.22	47
16.30	42
20.32	100
20.89	46
22.47	36
30.69	38

---

No. 4
Structure and theoretical powder XRD pattern of AlCuO3 (a DFT-relaxed cell (GGA-PBE, the Materials Project); Cu Ka).
Kinematic intensities with the Lorentz-polarization factor, no thermal factor.

Structure:
```
AlCuO3
1.0
2.467 1.424 4.454
-2.467 1.424 4.454
0.000 -2.849 4.454
Al Cu O
2 2 6
Direct
0.150 0.150 0.150
0.850 0.850 0.850
0.351 0.351 0.351
0.649 0.649 0.649
0.055 0.764 0.445
0.236 0.555 0.945
0.445 0.055 0.764
0.555 0.945 0.236
0.764 0.445 0.055
0.945 0.236 0.555
```

Principal peaks in the range 2θ = 5–70°, sorted by position:
2θ/deg	Rel. int.
24.73	51
34.06	100
36.42	80
41.86	67
55.59	78
65.54	46

---

No. 5
Structure and theoretical powder XRD pattern of Tc4Br7O (a DFT-relaxed cell (GGA-PBE, the Materials Project); Cu Ka).
Kinematic intensities with the Lorentz-polarization factor, no thermal factor.

Structure:
```
Tc4Br7O
1.0
10.053 0.000 0.000
0.000 9.503 0.000
-6.677 0.000 20.075
Tc Br O
16 28 4
Direct
0.013 0.168 0.023
0.013 0.332 0.523
0.080 0.642 0.611
0.080 0.858 0.111
0.138 0.506 0.470
0.138 0.994 0.970
0.231 0.020 0.104
0.231 0.480 0.604
0.769 0.520 0.396
0.769 0.980 0.896
0.862 0.006 0.030
0.862 0.494 0.530
0.920 0.142 0.889
0.920 0.358 0.389
0.987 0.668 0.477
0.987 0.832 0.977
0.095 0.018 0.845
0.095 0.482 0.345
0.132 0.643 0.052
0.132 0.857 0.552
0.142 0.241 0.143
0.142 0.259 0.643
0.169 0.724 0.218
0.169 0.776 0.718
0.265 0.241 0.496
0.265 0.259 0.996
0.378 0.602 0.542
0.378 0.898 0.042
0.435 0.509 0.714
0.435 0.991 0.214
0.565 0.009 0.786
0.565 0.491 0.286
0.622 0.102 0.958
0.622 0.398 0.458
0.735 0.741 0.004
0.735 0.759 0.504
0.831 0.224 0.282
0.831 0.276 0.782
0.858 0.741 0.357
0.858 0.759 0.857
0.868 0.143 0.448
0.868 0.357 0.948
0.905 0.518 0.655
0.905 0.982 0.155
0.355 0.510 0.776
0.355 0.990 0.276
0.645 0.010 0.724
0.645 0.490 0.224
```

Principal peaks in the range 2θ = 5–70°, sorted by position:
2θ/deg	Rel. int.
8.81	32
9.27	55
10.30	100
10.59	63
12.89	18
25.98	13